Computed X-ray diffraction stick pattern
Compound: Ca2PmPdO4
Radiation: Cu Kα
Structure: a DFT-relaxed cell (PBE, Alexandria)

Main lines, sorted by position (10° ≤ 2θ ≤ 90°):
h k l	Position (°2θ)	d [Å]	I (rel.)
0 0 1	15.67	5.655	73
2 0 -1	29.85	2.993	20
1 1 0	30.94	2.890	28
1 1 -1	31.53	2.838	76
0 0 2	31.64	2.827	38
2 0 0	32.78	2.732	34
2 0 -2	34.96	2.567	61
1 1 1	37.94	2.371	100
1 1 -2	39.40	2.287	19
1 1 -3	51.77	1.766	37
3 1 -1	53.30	1.719	34
2 2 -2	65.81	1.419	19

Structural model:
```
data_Ca2PmPdO4
_cell_length_a 6.0033
_cell_length_b 3.4055
_cell_length_c 6.2131
_cell_angle_alpha 90.00
_cell_angle_beta 114.47
_cell_angle_gamma 90.00
_space_group_name_H-M_alt 'P 1'
_space_group_IT_number 1
loop_
_space_group_symop_operation_xyz
'x,y,z'
loop_
_atom_site_label
_atom_site_type_symbol
_atom_site_fract_x
_atom_site_fract_y
_atom_site_fract_z
Ca1 Ca 0.0000 0.0000 0.0000
Ca2 Ca 0.5000 0.5000 0.0000
Pm1 Pm 0.0000 0.5000 0.5000
Pd1 Pd 0.5000 0.0000 0.5000
O1 O 0.2181 0.0000 0.7759
O2 O 0.2467 0.5000 0.2590
O3 O 0.7533 0.5000 0.7410
O4 O 0.7819 0.0000 0.2241
```